Entry 1:
Na4CuTe2O29: theoretical X-ray powder pattern (Cu Kα (weighted mean of Kα1 and Kα2)), based on a GGA-PBE-relaxed structure.
Peak positions follow from Bragg's law for the DFT cell and can differ from measured ones.

Atomic structure:
abc: 4.901 8.960 13.318
angles: 92.13 94.36 105.72
Space group P-1 (No. 2)
Inequivalent atoms, fractional coordinates:
Na 0.123 0.285 0.319 x2
Na 0.150 0.852 0.956 x2
Cu 0.500 0.500 0.000 x1
Te 0.492 0.262 0.802 x2
O 0.000 0.500 0.500 x1
O 0.025 0.179 0.524 x2
O 0.076 0.951 0.778 x2
O 0.078 0.273 0.787 x2
O 0.117 0.756 0.132 x2
O 0.132 0.381 0.148 x2
O 0.137 0.905 0.422 x2
O 0.289 0.524 0.423 x2
O 0.324 0.151 0.015 x2
O 0.335 0.672 0.661 x2
O 0.354 0.012 0.806 x2
O 0.395 0.474 0.135 x2
O 0.429 0.663 0.415 x2
O 0.456 0.807 0.634 x2
O 0.486 0.277 0.967 x2

Most intense lines, 2θ from 5° to 70°, in order of rising 2θ:
hkl	two_theta	intensity
0 0 1	6.67	100
0 1 -1	11.92	60
0 1 1	12.59	33
0 1 -2	16.38	44
1 0 0	18.88	39
1 -1 1	20.39	60
0 2 0	20.63	40
0 1 -4	28.27	37
0 3 2	34.80	44
2 -2 0	38.29	31


Entry 2:
CaGeO3: theoretical X-ray powder pattern (Cu Kα (weighted mean of Kα1 and Kα2)), based on a GGA-PBE-relaxed structure.
Peak positions follow from Bragg's law for the DFT cell and can differ from measured ones.

Atomic structure:
abc: 5.374 7.553 5.332
angles: 90.00 90.00 90.00
Space group Pnma (No. 62)
Inequivalent atoms, fractional coordinates:
Ca 0.040 0.250 0.008 x4
Ge 0.000 0.000 0.500 x4
O 0.016 0.750 0.426 x4
O 0.212 0.538 0.790 x8

Most intense lines, 2θ from 5° to 70°, in order of rising 2θ:
hkl	two_theta	intensity
1 0 1	23.52	33
2 0 0	33.34	20
1 2 1	33.54	100
2 0 2	48.08	30
0 4 0	48.19	16
3 0 1	54.00	4
2 2 2	54.25	10
3 2 1	59.70	14
2 4 0	59.87	9
1 2 3	60.05	28


Entry 3:
SmAlCu: theoretical X-ray powder pattern (Cu Kα (weighted mean of Kα1 and Kα2)), based on a GGA-PBE-relaxed structure.
Peak positions follow from Bragg's law for the DFT cell and can differ from measured ones.

Atomic structure:
abc: 7.1299 7.1299 4.0902
angles: 90.00 90.00 120.00
Space group P-62m (No. 189)
Inequivalent atoms, fractional coordinates:
Sm 0.0000 0.5837 0.0000 x3
Al 0.0000 0.2325 0.5000 x3
Cu 0.0000 0.0000 0.0000 x1
Cu 0.3333 0.6667 0.5000 x2

Most intense lines, 2θ from 5° to 70°, in order of rising 2θ:
hkl	two_theta	intensity
0 0 1	21.73	25
1 1 0	24.98	33
2 0 0	28.92	32
1 1 1	33.34	97
2 0 1	36.46	100
2 1 0	38.58	31
3 0 0	43.99	19
0 0 2	44.29	24
3 1 0	53.51	23
3 1 1	58.42	34


Entry 4:
BaIn2Te4: theoretical X-ray powder pattern (Cu Kα (weighted mean of Kα1 and Kα2)), based on a GGA-PBE-relaxed structure.
Peak positions follow from Bragg's law for the DFT cell and can differ from measured ones.

Atomic structure:
abc: 7.249 12.336 12.425
angles: 90.00 90.00 90.00
Space group Cccm (No. 66)
Inequivalent atoms, fractional coordinates:
Ba 0.000 0.000 0.250 x4
In 0.001 0.261 0.000 x8
Te 0.232 0.073 0.500 x8
Te 0.250 0.250 0.177 x8

Most intense lines, 2θ from 5° to 70°, in order of rising 2θ:
hkl	two_theta	intensity
0 0 2	14.21	32
1 1 3	25.81	49
1 3 1	25.92	49
0 0 4	28.74	25
0 4 0	28.95	22
2 2 2	32.06	100
0 6 0	44.04	29
1 3 5	44.39	17
1 5 3	44.54	17
2 4 4	48.60	16


Entry 5:
NdI3: theoretical X-ray powder pattern (Cu Kα (weighted mean of Kα1 and Kα2)), based on a GGA-PBE-relaxed structure.
Peak positions follow from Bragg's law for the DFT cell and can differ from measured ones.

Atomic structure:
abc: 11.3268 11.3268 4.1250
angles: 90.00 90.00 120.00
Space group P6_3/mmc (No. 194)
Inequivalent atoms, fractional coordinates:
Nd 0.3333 0.6667 0.2500 x2
I 0.2123 0.4246 0.7500 x6

Most intense lines, 2θ from 5° to 70°, in order of rising 2θ:
hkl	two_theta	intensity
1 0 0	9.02	91
2 0 0	18.09	63
2 1 0	24.00	28
2 0 1	28.27	100
2 1 1	32.47	28
3 1 0	32.92	21
3 0 1	35.02	48
3 1 1	39.69	33
3 3 0	48.20	23
5 1 1	56.82	25


Entry 6:
V5Si3: theoretical X-ray powder pattern (Cu Kα (weighted mean of Kα1 and Kα2)), based on a GGA-PBE-relaxed structure.
Peak positions follow from Bragg's law for the DFT cell and can differ from measured ones.

Atomic structure:
abc: 9.413 9.413 4.724
angles: 90.00 90.00 90.00
Space group I4/mcm (No. 140)
Inequivalent atoms, fractional coordinates:
V 0.000 0.500 0.250 x4
V 0.074 0.225 0.000 x16
Si 0.000 0.000 0.250 x4
Si 0.166 0.334 0.500 x8

Most intense lines, 2θ from 5° to 70°, in order of rising 2θ:
hkl	two_theta	intensity
0 0 2	38.10	23
4 0 0	38.25	15
3 2 1	39.44	56
3 3 0	40.67	11
2 0 2	42.84	42
4 2 0	42.97	58
4 1 1	44.06	100
2 2 2	47.19	48
5 2 1	56.10	11
6 3 1	69.94	10